# LaFe9Si4
Computed powder X-ray diffraction pattern, Cu Kα. Input: a DFT-relaxed cell (PBE, the Materials Project).

Crystal structure
```
LaFe9Si4
1.0
-3.9552 3.9552 5.7838
3.9552 -3.9552 5.7838
3.9552 3.9552 -5.7838
La Fe Si
2 18 8
Direct
0.2500 0.2500 0.0000
0.7500 0.7500 0.0000
0.0000 0.5000 0.5000
0.0610 0.5610 0.2616
0.0637 0.7986 0.8624
0.2014 0.0637 0.2651
0.2005 0.9390 0.5000
0.2986 0.5637 0.8624
0.2995 0.7995 0.7384
0.4363 0.2986 0.7349
0.4390 0.7005 0.5000
0.5000 0.0000 0.5000
0.5610 0.2995 0.5000
0.5637 0.7014 0.2651
0.7005 0.2005 0.2616
0.7014 0.4363 0.1376
0.7995 0.0610 0.5000
0.7986 0.9363 0.7349
0.9363 0.2014 0.1376
0.9390 0.4390 0.7384
0.0562 0.2037 0.5000
0.2037 0.7037 0.1475
0.2963 0.4438 0.5000
0.4438 0.9438 0.1475
0.5562 0.0562 0.8525
0.7037 0.5562 0.5000
0.7963 0.2963 0.8525
0.9438 0.7963 0.5000
```

Main lines, sorted by position (2θ = 10–90°):
| 2θ/deg | I_rel |
| --- | --- |
| 22.48 | 15 |
| 30.92 | 16 |
| 34.93 | 22 |
| 35.66 | 26 |
| 35.90 | 15 |
| 38.57 | 28 |
| 39.24 | 100 |
| 46.93 | 32 |
| 47.69 | 45 |
| 48.07 | 29 |